Entry 1:
Structure and computed powder X-ray diffraction pattern of Pr2Sc2BiP (a GGA-PBE-relaxed structure; Cu Kα (λ = 1.5418 Å)).
Neutral-atom scattering factors, no anomalous dispersion.

The 10 most intense peaks (2θ = 10–90°), sorted by position:
d/Å, I/Imax
8.171, 43
4.231, 27
3.414, 45
3.097, 75
2.896, 66
2.620, 100
2.468, 63
2.190, 58
1.680, 53
1.332, 37

Structural model:
a b c (Å): 4.380 4.380 16.342
angles (deg): 90.00 90.00 90.00
Fractional positions:
Pr1 0.000 0.000 0.000
Pr2 0.000 0.000 0.359
Pr3 0.500 0.500 0.500
Pr4 0.500 0.500 0.859
Sc1 0.000 0.500 0.203
Sc2 0.000 0.500 0.703
Sc3 0.500 0.000 0.203
Sc4 0.500 0.000 0.703
Bi1 0.000 0.000 0.566
Bi2 0.500 0.500 0.066
P1 0.000 0.000 0.809
P2 0.500 0.500 0.309


Entry 2:
Structure and computed powder X-ray diffraction pattern of Li8SnHg2 (a GGA-PBE-relaxed structure; Cu Kα (λ = 1.5418 Å)).
Neutral-atom scattering factors, no anomalous dispersion.

The 10 most intense peaks (2θ = 10–90°), sorted by position:
d/Å, I/Imax
3.898, 36
3.810, 100
3.508, 27
3.460, 31
2.945, 29
2.297, 43
2.268, 43
1.949, 17
1.897, 36
1.315, 15

Structural model:
a b c (Å): 4.536 4.536 10.702
angles (deg): 102.17 102.17 60.03
Fractional positions:
Li1 0.089 0.089 0.269
Li2 0.183 0.183 0.549
Li3 0.278 0.278 0.834
Li4 0.364 0.364 0.091
Li5 0.636 0.636 0.909
Li6 0.722 0.722 0.166
Li7 0.817 0.817 0.451
Li8 0.911 0.911 0.731
Sn1 0.000 0.000 0.000
Hg1 0.451 0.451 0.355
Hg2 0.549 0.549 0.645


Entry 3:
Structure and computed powder X-ray diffraction pattern of Co2Ge3S3 (a GGA-PBE-relaxed structure; Cu Kα (λ = 1.5418 Å)).
Neutral-atom scattering factors, no anomalous dispersion.

The 10 most intense peaks (2θ = 10–90°), sorted by position:
d/Å, I/Imax
5.677, 10
4.014, 27
3.278, 14
2.678, 13
2.539, 100
2.146, 33
1.795, 50
1.640, 24
1.575, 21
1.378, 10

Structural model:
a b c (Å): 8.029 8.029 8.029
angles (deg): 90.09 90.09 90.09
Fractional positions:
Co1 0.000 0.000 0.000
Co2 0.486 0.486 0.486
Co3 0.486 0.983 0.988
Co4 0.497 0.999 0.502
Co5 0.502 0.497 0.999
Co6 0.983 0.988 0.486
Co7 0.988 0.486 0.983
Co8 0.999 0.502 0.497
Ge1 0.076 0.894 0.742
Ge2 0.092 0.242 0.578
Ge3 0.242 0.578 0.092
Ge4 0.244 0.907 0.394
Ge5 0.394 0.244 0.907
Ge6 0.408 0.592 0.744
Ge7 0.578 0.092 0.242
Ge8 0.592 0.744 0.408
Ge9 0.742 0.076 0.894
Ge10 0.744 0.408 0.592
Ge11 0.894 0.742 0.076
Ge12 0.907 0.394 0.244
S1 0.087 0.595 0.744
S2 0.095 0.240 0.898
S3 0.240 0.898 0.095
S4 0.245 0.588 0.391
S5 0.391 0.245 0.588
S6 0.397 0.891 0.741
S7 0.588 0.391 0.245
S8 0.595 0.744 0.087
S9 0.741 0.397 0.891
S10 0.744 0.087 0.595
S11 0.891 0.741 0.397
S12 0.898 0.095 0.240


Entry 4:
Structure and computed powder X-ray diffraction pattern of Ta3GaAu (a GGA-PBE-relaxed structure; Cu Kα (λ = 1.5418 Å)).
Neutral-atom scattering factors, no anomalous dispersion.

The 10 most intense peaks (2θ = 10–90°), sorted by position:
d/Å, I/Imax
3.137, 13
2.339, 100
2.218, 60
2.115, 22
1.875, 8
1.654, 8
1.569, 8
1.376, 26
1.303, 23
1.169, 8

Structural model:
a b c (Å): 7.016 7.016 7.016
angles (deg): 90.00 90.00 90.00
Fractional positions:
Ta1 0.042 0.131 0.796
Ta2 0.131 0.796 0.042
Ta3 0.204 0.542 0.369
Ta4 0.296 0.458 0.869
Ta5 0.369 0.204 0.542
Ta6 0.458 0.869 0.296
Ta7 0.542 0.369 0.204
Ta8 0.631 0.704 0.958
Ta9 0.704 0.958 0.631
Ta10 0.796 0.042 0.131
Ta11 0.869 0.296 0.458
Ta12 0.958 0.631 0.704
Ga1 0.186 0.186 0.186
Ga2 0.314 0.814 0.686
Ga3 0.686 0.314 0.814
Ga4 0.814 0.686 0.314
Au1 0.065 0.935 0.435
Au2 0.435 0.065 0.935
Au3 0.565 0.565 0.565
Au4 0.935 0.435 0.065


Entry 5:
Structure and computed powder X-ray diffraction pattern of TlFeNiTe3 (a GGA-PBE-relaxed structure; Cu Kα (λ = 1.5418 Å)).
Neutral-atom scattering factors, no anomalous dispersion.

The 10 most intense peaks (2θ = 10–90°), sorted by position:
d/Å, I/Imax
3.075, 69
2.942, 100
2.623, 30
2.510, 32
2.485, 25
2.175, 22
1.911, 21
1.682, 35
1.667, 18
1.623, 19

Structural model:
a b c (Å): 8.013 8.013 10.040
angles (deg): 90.00 90.00 152.41
Fractional positions:
Tl1 0.239 0.761 0.750
Tl2 0.761 0.239 0.250
Fe1 0.000 0.000 0.000
Fe2 0.000 0.000 0.500
Ni1 0.470 0.530 0.250
Ni2 0.530 0.470 0.750
Te1 0.073 0.927 0.250
Te2 0.382 0.618 0.043
Te3 0.382 0.618 0.457
Te4 0.618 0.382 0.543
Te5 0.618 0.382 0.957
Te6 0.927 0.073 0.750


Entry 6:
Structure and computed powder X-ray diffraction pattern of NdPH5CO7 (a GGA-PBE-relaxed structure; Cu Kα (λ = 1.5418 Å)).
Neutral-atom scattering factors, no anomalous dispersion.

The 10 most intense peaks (2θ = 10–90°), sorted by position:
d/Å, I/Imax
6.963, 100
6.509, 38
4.399, 18
3.481, 23
3.439, 21
3.259, 23
2.933, 16
2.868, 31
2.468, 16
2.139, 15

Structural model:
a b c (Å): 6.527 6.940 7.425
angles (deg): 109.91 93.47 91.36
Fractional positions:
Nd1 0.131 0.229 0.443
Nd2 0.869 0.771 0.557
P1 0.337 0.755 0.489
P2 0.663 0.245 0.511
H1 0.172 0.532 0.842
H2 0.294 0.340 0.877
H3 0.413 0.734 0.312
H4 0.461 0.860 0.081
H5 0.463 0.237 0.125
H6 0.537 0.763 0.875
H7 0.539 0.140 0.919
H8 0.587 0.266 0.688
H9 0.706 0.660 0.123
H10 0.828 0.468 0.158
C1 0.061 0.907 0.003
C2 0.939 0.093 0.997
O1 0.051 0.752 0.851
O2 0.163 0.922 0.158
O3 0.181 0.575 0.456
O4 0.210 0.950 0.554
O5 0.220 0.391 0.781
O6 0.422 0.207 0.987
O7 0.480 0.237 0.370
O8 0.520 0.763 0.630
O9 0.578 0.793 0.013
O10 0.780 0.609 0.219
O11 0.790 0.050 0.446
O12 0.819 0.425 0.544
O13 0.837 0.078 0.842
O14 0.949 0.248 0.149


Entry 7:
Structure and computed powder X-ray diffraction pattern of Ta8Pb2C3N3 (a GGA-PBE-relaxed structure; Cu Kα (λ = 1.5418 Å)).
Neutral-atom scattering factors, no anomalous dispersion.

The 10 most intense peaks (2θ = 10–90°), sorted by position:
d/Å, I/Imax
2.741, 42
2.519, 82
2.475, 58
2.409, 100
2.293, 84
1.743, 17
1.592, 53
1.488, 17
1.416, 19
1.339, 53

Structural model:
a b c (Å): 3.184 3.184 24.747
angles (deg): 90.00 90.00 120.00
Fractional positions:
Ta1 0.000 0.000 0.148
Ta2 0.000 0.000 0.348
Ta3 0.000 0.000 0.652
Ta4 0.000 0.000 0.852
Ta5 0.333 0.667 0.554
Ta6 0.333 0.667 0.949
Ta7 0.667 0.333 0.051
Ta8 0.667 0.333 0.446
Pb1 0.333 0.667 0.753
Pb2 0.667 0.333 0.247
C1 0.000 0.000 0.500
C2 0.333 0.667 0.395
C3 0.667 0.333 0.605
N1 0.000 0.000 0.000
N2 0.333 0.667 0.101
N3 0.667 0.333 0.899